Structure and theoretical powder diffractogram of Pr2As4IrRh3 (a crystal structure in Alexandria, relaxed with PBE; Cu Kα (λ = 1.5418 Å)).
Intensities are scaled so that the largest is 100.

Structure:
Cell: 4.294 4.294 10.110 Å, 90.00 90.00 90.00°
Space group P-4m2 (No. 115)
One atom of each set of equivalent atoms:
Pr 0.000 0.500 0.247
As 0.000 0.000 0.000
As 0.000 0.500 0.637
As 0.500 0.500 0.000
Ir 0.000 0.000 0.500
Rh 0.000 0.500 0.879
Rh 0.500 0.500 0.500

Top 10 peaks for 2θ = 10–90°, sorted by position:
- hkl 1 0 3, 33.81 deg, rel. 53
- hkl 1 1 2, 34.45 deg, rel. 100
- hkl 2 0 0, 42.08 deg, rel. 62
- hkl 1 1 4, 46.76 deg, rel. 21
- hkl 1 0 5, 49.85 deg, rel. 20
- hkl 2 1 3, 55.03 deg, rel. 26
- hkl 2 2 0, 61.03 deg, rel. 20
- hkl 1 1 6, 63.10 deg, rel. 16
- hkl 2 1 5, 67.23 deg, rel. 16
- hkl 3 1 2, 72.00 deg, rel. 23